Calculated powder diffraction line list of KGaCoC4Cl3O4 for Cu Kα (weighted mean of Kα1 and Kα2), from the GGA+U geometry in OQMD.

Crystal structure
```
data_KGaCoC4Cl3O4
_chemical_formula_sum 'K4 Ga4 Co4 C16 Cl12 O16'
_space_group_name_H-M_alt 'P 1 21/c 1'
_space_group_IT_number 14
_space_group_name_Hall '-P 2ybc'
_cell_length_a 11.7615
_cell_length_b 8.8607
_cell_length_c 11.3416
_cell_angle_alpha 90.00
_cell_angle_beta 106.64
_cell_angle_gamma 90.00
loop_
_atom_site_label
_atom_site_fract_x
_atom_site_fract_y
_atom_site_fract_z
K1 0.1269 0.1940 0.4218
Ga1 0.2064 0.5555 0.2441
Co1 0.3760 0.6874 0.3674
C1 0.2876 0.6498 0.8275
C2 0.3419 0.5800 0.4829
C3 0.4349 0.6100 0.2549
C4 0.4897 0.2314 0.5470
Cl1 0.0511 0.5434 0.3213
Cl2 0.1325 0.6465 0.0533
Cl3 0.2417 0.1888 0.7138
O1 0.2328 0.5394 0.8049
O2 0.3200 0.5122 0.5614
O3 0.3985 0.1819 0.4935
O4 0.4779 0.5640 0.1821
```

Most intense lines, 2θ = 5–70°, by angle:
hkl 1 1 -1, 6.401 Å, 2θ 13.83, I 100
hkl 2 0 0, 5.635 Å, 2θ 15.73, I 21
hkl 0 0 2, 5.439 Å, 2θ 16.30, I 44
hkl 1 1 -2, 4.707 Å, 2θ 18.85, I 35
hkl 2 0 -2, 4.630 Å, 2θ 19.17, I 33
hkl 0 2 1, 4.103 Å, 2θ 21.66, I 36
hkl 4 0 -2, 2.857 Å, 2θ 31.30, I 47
hkl 3 2 -2, 2.800 Å, 2θ 31.97, I 22
hkl 2 1 -4, 2.651 Å, 2θ 33.82, I 21
hkl 3 1 2, 2.622 Å, 2θ 34.20, I 23